In4Cu9: computed powder XRD pattern (Cu Kα, 1.54184 Å), based on DFT lattice parameters and positions (PBE).
Kinematic intensities with the Lorentz-polarization factor, no thermal factor.

Most intense lines, 2θ from 10° to 80°, most intense first:
Position (°2θ)  I (rel.)
41.7  100.0
76.1  18.7
33.8  9.6
29.2  8.9
60.5  8.8
36.6  6.2
46.4  5.1
71.1  5.1

Atomic structure:
Lattice parameters (Å, degrees): 9.188 9.188 9.188 90.00 90.00 90.00
Positions (direct):
In1 0.036 0.308 0.308
In2 0.036 0.692 0.692
In3 0.308 0.036 0.308
In4 0.308 0.308 0.036
In5 0.308 0.692 0.964
In6 0.308 0.964 0.692
In7 0.373 0.373 0.627
In8 0.373 0.627 0.373
In9 0.627 0.373 0.373
In10 0.627 0.627 0.627
In11 0.692 0.036 0.692
In12 0.692 0.308 0.964
In13 0.692 0.692 0.036
In14 0.692 0.964 0.308
In15 0.964 0.308 0.692
In16 0.964 0.692 0.308
Cu1 0.000 0.000 0.357
Cu2 0.000 0.000 0.643
Cu3 0.000 0.357 0.000
Cu4 0.000 0.643 0.000
Cu5 0.098 0.098 0.098
Cu6 0.098 0.902 0.902
Cu7 0.141 0.500 0.500
Cu8 0.170 0.170 0.830
Cu9 0.170 0.830 0.170
Cu10 0.179 0.179 0.532
Cu11 0.179 0.468 0.821
Cu12 0.179 0.532 0.179
Cu13 0.179 0.821 0.468
Cu14 0.331 0.331 0.331
Cu15 0.331 0.669 0.669
Cu16 0.357 0.000 0.000
Cu17 0.468 0.179 0.821
Cu18 0.468 0.821 0.179
Cu19 0.500 0.141 0.500
Cu20 0.500 0.500 0.141
Cu21 0.500 0.500 0.859
Cu22 0.500 0.859 0.500
Cu23 0.532 0.179 0.179
Cu24 0.532 0.821 0.821
Cu25 0.643 0.000 0.000
Cu26 0.669 0.331 0.669
Cu27 0.669 0.669 0.331
Cu28 0.821 0.179 0.468
Cu29 0.821 0.468 0.179
Cu30 0.821 0.532 0.821
Cu31 0.821 0.821 0.532
Cu32 0.830 0.170 0.170
Cu33 0.830 0.830 0.830
Cu34 0.859 0.500 0.500
Cu35 0.902 0.098 0.902
Cu36 0.902 0.902 0.098



In9Cu11: computed powder XRD pattern (Cu Kα, 1.54184 Å), based on DFT lattice parameters and positions (PBE).
Kinematic intensities with the Lorentz-polarization factor, no thermal factor.

Most intense lines, 2θ from 10° to 80°, most intense first:
Position (°2θ)  I (rel.)
42.4  100.0
42.1  91.1
39.7  82.9
40.5  48.0
28.6  38.9
41.4  33.9
42.0  27.3
29.1  23.1

Atomic structure:
Lattice parameters (Å, degrees): 6.846 6.846 12.526 109.30 109.30 38.75
Positions (direct):
In1 0.000 0.000 0.000
In2 0.134 0.134 0.256
In3 0.171 0.171 0.522
In4 0.323 0.323 0.981
In5 0.376 0.376 0.263
In6 0.624 0.624 0.737
In7 0.677 0.677 0.019
In8 0.829 0.829 0.478
In9 0.866 0.866 0.744
Cu1 0.025 0.025 0.635
Cu2 0.108 0.108 0.857
Cu3 0.251 0.251 0.750
Cu4 0.394 0.394 0.633
Cu5 0.474 0.474 0.858
Cu6 0.500 0.500 0.500
Cu7 0.526 0.526 0.142
Cu8 0.606 0.606 0.367
Cu9 0.749 0.749 0.250
Cu10 0.892 0.892 0.143
Cu11 0.975 0.975 0.365



In2Cu: computed powder XRD pattern (Cu Kα, 1.54184 Å), based on DFT lattice parameters and positions (PBE).
Kinematic intensities with the Lorentz-polarization factor, no thermal factor.

Most intense lines, 2θ from 10° to 80°, most intense first:
Position (°2θ)  I (rel.)
34.1  100.0
38.4  74.9
52.3  28.5
67.4  26.7
66.7  26.6
69.4  12.2
53.1  9.4
25.4  8.1

Atomic structure:
Lattice parameters (Å, degrees): 4.691 4.691 6.902 90.00 90.00 120.00
Positions (direct):
In1 0.000 0.000 0.000
In2 0.000 0.000 0.500
In3 0.333 0.667 0.250
In4 0.667 0.333 0.750
Cu1 0.333 0.667 0.750
Cu2 0.667 0.333 0.250



In3Cu: computed powder XRD pattern (Cu Kα, 1.54184 Å), based on DFT lattice parameters and positions (PBE).
Kinematic intensities with the Lorentz-polarization factor, no thermal factor.

Most intense lines, 2θ from 10° to 80°, most intense first:
Position (°2θ)  I (rel.)
35.7  100.0
29.3  28.6
51.9  20.0
68.0  17.2
40.7  16.1
64.6  14.5
70.9  12.6
51.0  11.8

Atomic structure:
Lattice parameters (Å, degrees): 7.048 7.048 4.429 90.00 90.00 120.00
Positions (direct):
In1 0.180 0.361 0.250
In2 0.180 0.820 0.250
In3 0.361 0.180 0.750
In4 0.639 0.820 0.250
In5 0.820 0.180 0.750
In6 0.820 0.639 0.750
Cu1 0.333 0.667 0.750
Cu2 0.667 0.333 0.250